1.
Computed X-ray diffraction stick pattern of Pm3Pr2P4 for Cu Ka, from the GGA-PBE geometry in Alexandria.

Most intense lines, 10 to 80 degrees two-theta, by angle:
2theta, d [Å], intensity, h k l
26.41, 3.375, 100, 1 1 1
30.50, 2.931, 35, 2 0 2
30.63, 2.919, 70, 3 1 -2
43.71, 2.071, 25, 1 1 -4
43.85, 2.065, 51, 0 2 0
51.88, 1.762, 20, 2 2 -3
51.97, 1.760, 16, 4 2 -1
72.40, 1.305, 17, 3 3 -2

Cell and atoms:
```
data_Pm3Pr2P4
_chemical_formula_sum 'Pm6 Pr4 P8'
_cell_length_a 13.6811
_cell_length_b 4.1280
_cell_length_c 10.1416
_cell_angle_alpha 90.00
_cell_angle_beta 119.32
_cell_angle_gamma 90.00
_space_group_name_H-M_alt 'C 1 2/m 1'
_space_group_IT_number 12
_space_group_name_Hall '-C 2y'
loop_
_atom_site_label
_atom_site_fract_x
_atom_site_fract_y
_atom_site_fract_z
_atom_site_occupancy
Pm1 0.0000 0.0000 0.0000 1
Pm2 0.2047 0.0000 0.8104 1
Pr1 0.1030 0.5000 0.3926 1
P1 0.1010 0.5000 0.9001 1
P2 0.2019 0.0000 0.3010 1
```

---

2.
Computed X-ray diffraction stick pattern of Pm3Pr5P8 for Cu Ka, from the GGA-PBE geometry in Alexandria.

Most intense lines, 10 to 80 degrees two-theta, by angle:
2theta, d [Å], intensity, h k l
26.13, 3.411, 79, 2 0 2
30.26, 2.954, 100, 0 2 4
43.32, 2.089, 74, 2 2 0
51.29, 1.781, 39, 2 2 6
53.75, 1.705, 26, 4 0 4
69.34, 1.355, 16, 4 2 2
71.41, 1.321, 33, 2 4 4
79.48, 1.206, 25, 6 0 0

Cell and atoms:
```
data_Pm3Pr5P8
_chemical_formula_sum 'Pm9 Pr15 P24'
_cell_length_a 8.3544
_cell_length_b 8.3544
_cell_length_c 20.4635
_cell_angle_alpha 90.00
_cell_angle_beta 90.00
_cell_angle_gamma 120.00
_space_group_name_H-M_alt 'R -3 m'
_space_group_IT_number 166
_space_group_name_Hall '-R 3 2"'
loop_
_atom_site_label
_atom_site_fract_x
_atom_site_fract_y
_atom_site_fract_z
_atom_site_occupancy
Pm1 0.0000 0.5000 0.0000 1
Pr1 0.0000 0.0000 0.0000 1
Pr2 0.0000 0.0000 0.5000 1
Pr3 0.0000 0.5000 0.5000 1
P1 0.0000 0.0000 0.2514 1
P2 0.0019 0.5009 0.2509 1
```

---

3.
Computed X-ray diffraction stick pattern of Pm2PrUP4 for Cu Ka, from the GGA-PBE geometry in Alexandria.

Most intense lines, 10 to 80 degrees two-theta, by angle:
2theta, d [Å], intensity, h k l
26.65, 3.345, 89, 2 0 2
30.87, 2.897, 100, 2 2 0
44.22, 2.048, 74, 4 0 0
52.38, 1.747, 45, 2 0 6
54.90, 1.672, 26, 4 0 4
64.32, 1.448, 12, 4 4 0
70.90, 1.329, 19, 4 2 6
73.02, 1.296, 28, 2 6 0

Cell and atoms:
```
data_Pm2PrUP4
_chemical_formula_sum 'Pm8 Pr4 U4 P16'
_cell_length_a 8.1861
_cell_length_b 8.1943
_cell_length_c 11.5959
_cell_angle_alpha 90.00
_cell_angle_beta 90.00
_cell_angle_gamma 90.00
_space_group_name_H-M_alt 'F 2 2 2'
_space_group_IT_number 22
_space_group_name_Hall 'F 2 2'
loop_
_atom_site_label
_atom_site_fract_x
_atom_site_fract_y
_atom_site_fract_z
_atom_site_occupancy
Pm1 0.0000 0.0000 0.0000 1
Pm2 0.2500 0.2500 0.2500 1
Pr1 0.2500 0.2500 0.7500 1
U1 0.0000 0.0000 0.5000 1
P1 0.0000 0.0000 0.2613 1
P2 0.2500 0.2500 0.0016 1
```

---

4.
Computed X-ray diffraction stick pattern of PmP2Pt5 for Cu Ka, from the GGA-PBE geometry in Alexandria.

Most intense lines, 10 to 80 degrees two-theta, by angle:
2theta, d [Å], intensity, h k l
31.85, 2.810, 26, 2 2 0
34.96, 2.567, 100, 0 2 1
35.55, 2.525, 49, 2 0 1
35.79, 2.509, 49, 4 0 -1
43.71, 2.071, 34, 2 0 -2
44.74, 2.025, 20, 1 3 -1
46.24, 1.963, 38, 4 2 0
65.27, 1.429, 21, 2 2 2

Cell and atoms:
```
data_PmP2Pt5
_chemical_formula_sum 'Pm2 P4 Pt10'
_cell_length_a 10.3458
_cell_length_b 6.9662
_cell_length_c 4.1419
_cell_angle_alpha 90.00
_cell_angle_beta 113.21
_cell_angle_gamma 90.00
_space_group_name_H-M_alt 'C 1 2/m 1'
_space_group_IT_number 12
_space_group_name_Hall '-C 2y'
loop_
_atom_site_label
_atom_site_fract_x
_atom_site_fract_y
_atom_site_fract_z
_atom_site_occupancy
Pm1 0.0000 0.0000 0.0000 1
P1 0.2470 0.5000 0.2463 1
Pt1 0.0000 0.5000 0.0000 1
Pt2 0.1484 0.2917 0.6481 1
```

---

5.
Computed X-ray diffraction stick pattern of PmPPt2 for Cu Ka, from the GGA-PBE geometry in Alexandria.

Most intense lines, 10 to 80 degrees two-theta, by angle:
2theta, d [Å], intensity, h k l
26.60, 3.351, 18, 1 3 0
34.24, 2.619, 100, 1 3 1
36.38, 2.470, 31, 0 6 1
43.10, 2.099, 20, 0 0 2
45.26, 2.004, 17, 2 0 0
50.26, 1.815, 17, 1 9 0
59.40, 1.556, 15, 2 6 1
68.32, 1.373, 13, 1 9 2

Cell and atoms:
```
data_PmPPt2
_chemical_formula_sum 'Pm4 P4 Pt8'
_cell_length_a 4.0070
_cell_length_b 18.3275
_cell_length_c 4.1975
_cell_angle_alpha 90.00
_cell_angle_beta 90.00
_cell_angle_gamma 90.00
_space_group_name_H-M_alt 'C m c m'
_space_group_IT_number 63
_space_group_name_Hall '-C 2c 2'
loop_
_atom_site_label
_atom_site_fract_x
_atom_site_fract_y
_atom_site_fract_z
_atom_site_occupancy
Pm1 0.0000 0.1057 0.2500 1
P1 0.0000 0.3296 0.2500 1
Pt1 0.0000 0.2371 0.7500 1
Pt2 0.0000 0.4549 0.2500 1
```

---

6.
Computed X-ray diffraction stick pattern of PmP2Pt8 for Cu Ka, from the GGA-PBE geometry in Alexandria.

Most intense lines, 10 to 80 degrees two-theta, by angle:
2theta, d [Å], intensity, h k l
11.77, 7.517, 43, 0 0 2
23.67, 3.759, 51, 0 0 4
32.84, 2.727, 79, 2 0 0
35.84, 2.506, 33, 0 0 6
40.88, 2.207, 100, 2 0 4
47.12, 1.929, 50, 2 2 0
49.39, 1.845, 42, 2 0 6
60.59, 1.528, 30, 2 2 6

Cell and atoms:
```
data_PmP2Pt8
_chemical_formula_sum 'Pm2 P4 Pt16'
_cell_length_a 5.4548
_cell_length_b 5.4548
_cell_length_c 15.0345
_cell_angle_alpha 90.00
_cell_angle_beta 90.00
_cell_angle_gamma 90.00
_space_group_name_H-M_alt 'I 4/m m m'
_space_group_IT_number 139
_space_group_name_Hall '-I 4 2'
loop_
_atom_site_label
_atom_site_fract_x
_atom_site_fract_y
_atom_site_fract_z
_atom_site_occupancy
Pm1 0.0000 0.0000 0.0000 1
P1 0.0000 0.5000 0.2500 1
Pt1 0.2466 0.2466 0.3487 1
```

---

7.
Computed X-ray diffraction stick pattern of Pm3P2PtRh9 for Cu Ka, from the GGA-PBE geometry in Alexandria.

Most intense lines, 10 to 80 degrees two-theta, by angle:
2theta, d [Å], intensity, h k l
25.71, 3.465, 20, 0 1 2
28.49, 3.133, 19, 0 0 3
35.85, 2.505, 21, 1 1 2
36.32, 2.474, 70, 0 2 1
40.06, 2.251, 100, 2 0 2
42.31, 2.136, 22, 0 1 4
52.85, 1.732, 19, 0 2 4
62.77, 1.480, 29, 2 2 0

Cell and atoms:
```
data_Pm3P2PtRh9
_chemical_formula_sum 'Pm3 P2 Pt1 Rh9'
_cell_length_a 5.9213
_cell_length_b 5.9213
_cell_length_c 9.3982
_cell_angle_alpha 90.00
_cell_angle_beta 90.00
_cell_angle_gamma 120.00
_space_group_name_H-M_alt 'P -3 m 1'
_space_group_IT_number 164
_space_group_name_Hall '-P 3 2"'
loop_
_atom_site_label
_atom_site_fract_x
_atom_site_fract_y
_atom_site_fract_z
_atom_site_occupancy
Pm1 0.0000 0.0000 0.0000 1
Pm2 0.3333 0.6667 0.6194 1
P1 0.3333 0.6667 0.1578 1
Pt1 0.0000 0.0000 0.5000 1
Rh1 0.0000 0.5000 0.0000 1
Rh2 0.1521 0.3043 0.2785 1
```

---

8.
Computed X-ray diffraction stick pattern of PmPu3P4 for Cu Ka, from the GGA-PBE geometry in Alexandria.

Most intense lines, 10 to 80 degrees two-theta, by angle:
2theta, d [Å], intensity, h k l
27.09, 3.292, 100, 1 1 1
31.38, 2.851, 95, 2 0 0
44.97, 2.016, 71, 2 2 0
53.29, 1.719, 50, 3 1 1
55.86, 1.646, 25, 2 2 2
65.48, 1.425, 12, 4 0 0
72.23, 1.308, 21, 3 3 1
74.41, 1.275, 33, 4 2 0

Cell and atoms:
```
data_PmPu3P4
_chemical_formula_sum 'Pm1 Pu3 P4'
_cell_length_a 5.7015
_cell_length_b 5.7015
_cell_length_c 5.7015
_cell_angle_alpha 90.00
_cell_angle_beta 90.00
_cell_angle_gamma 90.00
_space_group_name_H-M_alt 'P m -3 m'
_space_group_IT_number 221
_space_group_name_Hall '-P 4 2 3'
loop_
_atom_site_label
_atom_site_fract_x
_atom_site_fract_y
_atom_site_fract_z
_atom_site_occupancy
Pm1 0.0000 0.0000 0.0000 1
Pu1 0.0000 0.5000 0.5000 1
P1 0.0000 0.0000 0.5000 1
P2 0.5000 0.5000 0.5000 1
```

---

9.
Computed X-ray diffraction stick pattern of Pm3PuP4 for Cu Ka, from the GGA-PBE geometry in Alexandria.

Most intense lines, 10 to 80 degrees two-theta, by angle:
2theta, d [Å], intensity, h k l
26.67, 3.343, 91, 2 0 0
30.89, 2.895, 100, 1 2 1
44.25, 2.047, 74, 2 0 2
52.41, 1.746, 45, 4 0 -2
54.91, 1.672, 20, 0 0 4
64.36, 1.447, 12, 2 4 2
70.93, 1.329, 14, 4 4 -2
73.08, 1.295, 28, 3 2 3

Cell and atoms:
```
data_Pm3PuP4
_chemical_formula_sum 'Pm6 Pu2 P8'
_cell_length_a 7.0823
_cell_length_b 8.1941
_cell_length_c 7.0954
_cell_angle_alpha 90.00
_cell_angle_beta 109.50
_cell_angle_gamma 90.00
_space_group_name_H-M_alt 'P 1 2/c 1'
_space_group_IT_number 13
_space_group_name_Hall '-P 2yc'
loop_
_atom_site_label
_atom_site_fract_x
_atom_site_fract_y
_atom_site_fract_z
_atom_site_occupancy
Pm1 0.0000 0.1246 0.2500 1
Pm2 0.0000 0.3747 0.7500 1
Pm3 0.5000 0.1245 0.7500 1
Pu1 0.5000 0.3750 0.2500 1
P1 0.2531 0.1298 0.0052 1
P2 0.2608 0.3805 0.4988 1
```

---

10.
Computed X-ray diffraction stick pattern of PmPu2UP4 for Cu Ka, from the GGA-PBE geometry in Alexandria.

Most intense lines, 10 to 80 degrees two-theta, by angle:
2theta, d [Å], intensity, h k l
27.26, 3.271, 100, 1 1 2
31.58, 2.833, 95, 2 0 0
45.27, 2.003, 71, 2 2 0
53.57, 1.711, 17, 1 1 6
53.69, 1.707, 33, 3 1 2
56.24, 1.636, 25, 2 2 4
72.72, 1.300, 14, 3 1 6
75.02, 1.266, 22, 4 2 0

Cell and atoms:
```
data_PmPu2UP4
_chemical_formula_sum 'Pm2 Pu4 U2 P8'
_cell_length_a 5.6603
_cell_length_b 5.6603
_cell_length_c 11.3542
_cell_angle_alpha 90.00
_cell_angle_beta 90.00
_cell_angle_gamma 90.00
_space_group_name_H-M_alt 'I -4 m 2'
_space_group_IT_number 119
_space_group_name_Hall 'I -4 -2'
loop_
_atom_site_label
_atom_site_fract_x
_atom_site_fract_y
_atom_site_fract_z
_atom_site_occupancy
Pm1 0.0000 0.0000 0.0000 1
Pu1 0.0000 0.0000 0.5000 1
Pu2 0.0000 0.5000 0.2500 1
U1 0.0000 0.5000 0.7500 1
P1 0.0000 0.0000 0.2539 1
P2 0.0000 0.5000 0.5050 1
```

---

11.
Computed X-ray diffraction stick pattern of Pm2P3Rh6 for Cu Ka, from the GGA-PBE geometry in Alexandria.

Most intense lines, 10 to 80 degrees two-theta, by angle:
2theta, d [Å], intensity, h k l
28.88, 3.092, 19, 2 0 0
32.99, 2.715, 100, 1 1 1
38.52, 2.337, 24, 2 1 0
43.27, 2.091, 27, 0 0 2
43.93, 2.061, 27, 3 0 0
44.41, 2.040, 59, 2 1 1
63.37, 1.468, 18, 3 0 2
73.79, 1.284, 22, 4 1 1

Cell and atoms:
```
data_Pm2P3Rh6
_chemical_formula_sum 'Pm2 P3 Rh6'
_cell_length_a 7.1397
_cell_length_b 7.1397
_cell_length_c 4.1815
_cell_angle_alpha 90.00
_cell_angle_beta 90.00
_cell_angle_gamma 120.00
_space_group_name_H-M_alt 'P -6 2 m'
_space_group_IT_number 189
_space_group_name_Hall 'P -6 -2'
loop_
_atom_site_label
_atom_site_fract_x
_atom_site_fract_y
_atom_site_fract_z
_atom_site_occupancy
Pm1 0.3333 0.6667 0.0000 1
P1 0.0000 0.3761 0.5000 1
Rh1 0.0000 0.2195 0.0000 1
Rh2 0.0000 0.7090 0.5000 1
```

---

12.
Computed X-ray diffraction stick pattern of Pm2P7Rh12 for Cu Ka, from the GGA-PBE geometry in Alexandria.

Most intense lines, 10 to 80 degrees two-theta, by angle:
2theta, d [Å], intensity, h k l
28.33, 3.150, 14, 1 2 0
36.66, 2.451, 100, 1 2 1
45.61, 1.989, 8, 4 -3 1
46.53, 1.952, 16, 0 0 2
47.56, 1.912, 9, 2 3 0
50.16, 1.819, 17, 4 1 0
70.82, 1.330, 11, 4 1 2
79.75, 1.203, 10, 3 -1 3

Cell and atoms:
```
data_Pm2P7Rh12
_chemical_formula_sum 'Pm2 P7 Rh12'
_cell_length_a 9.6233
_cell_length_b 9.6233
_cell_length_c 3.9032
_cell_angle_alpha 90.00
_cell_angle_beta 90.00
_cell_angle_gamma 120.00
_space_group_name_H-M_alt 'P -3'
_space_group_IT_number 147
_space_group_name_Hall '-P 3'
loop_
_atom_site_label
_atom_site_fract_x
_atom_site_fract_y
_atom_site_fract_z
_atom_site_occupancy
Pm1 0.3333 0.6667 0.2481 1
P1 0.0000 0.0000 0.0000 1
P2 0.1166 0.4037 0.7451 1
Rh1 0.0652 0.6186 0.7493 1
Rh2 0.1102 0.8498 0.2496 1
```

---

13.
Computed X-ray diffraction stick pattern of Pm3P2Rh9 for Cu Ka, from the GGA-PBE geometry in Alexandria.

Most intense lines, 10 to 80 degrees two-theta, by angle:
2theta, d [Å], intensity, h k l
35.40, 2.536, 61, 0 0 6
36.25, 2.478, 100, 2 0 2
38.67, 2.329, 98, 2 0 3
41.85, 2.158, 57, 2 0 4
45.68, 1.986, 33, 2 0 5
60.11, 1.539, 28, 2 0 8
61.25, 1.513, 42, 2 2 0
72.77, 1.300, 40, 2 2 6

Cell and atoms:
```
data_Pm3P2Rh9
_chemical_formula_sum 'Pm6 P4 Rh18'
_cell_length_a 6.0534
_cell_length_b 6.0534
_cell_length_c 15.2143
_cell_angle_alpha 90.00
_cell_angle_beta 90.00
_cell_angle_gamma 120.00
_space_group_name_H-M_alt 'P 63/m m c'
_space_group_IT_number 194
_space_group_name_Hall '-P 6c 2c'
loop_
_atom_site_label
_atom_site_fract_x
_atom_site_fract_y
_atom_site_fract_z
_atom_site_occupancy
Pm1 0.0000 0.0000 0.2500 1
Pm2 0.3333 0.6667 0.0790 1
P1 0.3333 0.6667 0.6515 1
Rh1 0.0035 0.5018 0.2500 1
Rh2 0.1525 0.3050 0.5766 1
```